This entry pairs a crystal structure of Y5CuPb3 with its calculated powder diffractogram. Radiation: CuKα. Structure: a DFT-relaxed cell (PBE, the Materials Project).

Cell and atoms:
abc: 8.9505 8.9505 6.7785
angles: 90.00 90.00 120.00
Atoms (fractional coordinates):
Y1 0.0000 0.2519 0.2500
Y2 0.0000 0.7481 0.7500
Y3 0.2519 0.0000 0.2500
Y4 0.2519 0.2519 0.7500
Y5 0.3333 0.6667 0.0000
Y6 0.3333 0.6667 0.5000
Y7 0.6667 0.3333 0.0000
Y8 0.6667 0.3333 0.5000
Y9 0.7481 0.0000 0.7500
Y10 0.7481 0.7481 0.2500
Cu1 0.0000 0.0000 0.0000
Cu2 0.0000 0.0000 0.5000
Pb1 0.0000 0.3913 0.7500
Pb2 0.0000 0.6086 0.2500
Pb3 0.3913 0.0000 0.7500
Pb4 0.3913 0.3913 0.2500
Pb5 0.6086 0.0000 0.2500
Pb6 0.6086 0.6086 0.7500

Most intense lines, 2θ from 15° to 90°, low angle first:
2theta	d (Å)	intensity
23.8	3.735	42.8
26.3	3.389	31.3
33.2	2.702	100.0
33.3	2.689	96.0
34.7	2.584	63.2
44.2	2.049	37.7